Simulated XRD peak list
Compound: Nd2Al9Co3
Radiation: Cu Kα (λ = 1.5418 Å)
Structure: a DFT-relaxed cell (PBE, Alexandria)
Intensities are scaled so that the largest is 100.

Principal peaks in the range 2θ = 5–70°, low angle first:
2θ/deg, d_spacing, intensity, h k l
25.54, 3.487, 82.6, 3 1 -2
37.08, 2.424, 53.7, 3 1 -4
37.20, 2.417, 60.6, 3 1 2
37.27, 2.413, 59.5, 0 2 3
37.85, 2.377, 55.1, 0 0 4
41.95, 2.154, 100.0, 3 3 -1

Atomic structure:
a = 13.0160 Å, b = 7.4433 Å, c = 10.4668 Å
α = 90.00°, β = 114.70°, γ = 90.00°
Space group C2/c (No. 15)
Inequivalent atoms, fractional coordinates:
Nd (0.1696, 0.0832, 0.2497) (multiplicity 8)
Al (0.0000, 0.3676, 0.2500) (multiplicity 4)
Al (0.0607, 0.0826, 0.9309) (multiplicity 8)
Al (0.0971, 0.4150, 0.0426) (multiplicity 8)
Al (0.1042, 0.3148, 0.7473) (multiplicity 8)
Al (0.2260, 0.4175, 0.4337) (multiplicity 8)
Co (0.0851, 0.2451, 0.5012) (multiplicity 8)
Co (0.2500, 0.2500, 0.0000) (multiplicity 4)

Simulated XRD peak list
Compound: Cs2PrRhO4
Radiation: Cu Kα (λ = 1.5418 Å)
Structure: a DFT-relaxed cell (PBE, Alexandria)
Intensities are scaled so that the largest is 100.

Principal peaks in the range 2θ = 5–70°, low angle first:
2θ/deg, d_spacing, intensity, h k l
13.84, 6.400, 100.0, 0 0 4
23.39, 3.803, 30.9, 1 1 5
24.39, 3.649, 65.7, 0 2 6
25.30, 3.521, 38.4, 0 4 0
31.50, 2.840, 50.8, 2 2 0
37.38, 2.406, 33.5, 0 2 10

Atomic structure:
a = 6.2072 Å, b = 14.0836 Å, c = 25.5984 Å
α = 90.00°, β = 90.00°, γ = 90.00°
Space group Fddd (No. 70, origin choice 2)
Inequivalent atoms, fractional coordinates:
Cs (0.1250, 0.1250, 0.3191) (multiplicity 16)
Pr (0.1250, 0.1250, 0.1250) (multiplicity 8)
Rh (0.1250, 0.1250, 0.6250) (multiplicity 8)
O (0.0962, 0.2757, 0.8574) (multiplicity 32)

Simulated XRD peak list
Compound: ZrCr2W
Radiation: Cu Kα (λ = 1.5418 Å)
Structure: a DFT-relaxed cell (PBE, Alexandria)
Intensities are scaled so that the largest is 100.

Principal peaks in the range 2θ = 5–70°, low angle first:
2θ/deg, d_spacing, intensity, h k l
10.20, 8.672, 59.8, 0 0 1
30.93, 2.891, 19.6, 0 0 3
36.61, 2.455, 26.7, 1 1 1
39.77, 2.267, 29.6, 0 2 0
40.95, 2.204, 100.0, 1 1 2
41.66, 2.168, 18.2, 0 0 4

Atomic structure:
a = 3.1011 Å, b = 4.5330 Å, c = 8.6722 Å
α = 90.00°, β = 90.00°, γ = 90.00°
Space group Cmm2 (No. 35)
Inequivalent atoms, fractional coordinates:
Zr (0.0000, 0.0000, 0.0000) (multiplicity 2)
Cr (0.0000, 0.0000, 0.4708) (multiplicity 2)
Cr (0.0000, 0.5000, 0.2688) (multiplicity 2)
W (0.0000, 0.5000, 0.7085) (multiplicity 2)

Simulated XRD peak list
Compound: TbPmZnAu
Radiation: Cu Kα (λ = 1.5418 Å)
Structure: a DFT-relaxed cell (PBE, Alexandria)
Intensities are scaled so that the largest is 100.

Principal peaks in the range 2θ = 5–70°, low angle first:
2θ/deg, d_spacing, intensity, h k l
12.34, 7.176, 13.3, 0 0 1
34.67, 2.587, 52.1, 1 1 0
35.03, 2.562, 100.0, 1 0 2
49.85, 1.829, 18.7, 2 0 0
62.38, 1.489, 37.5, 2 1 2
63.06, 1.474, 17.4, 1 1 4

Atomic structure:
a = 3.6586 Å, b = 3.6586 Å, c = 7.1756 Å
α = 90.00°, β = 90.00°, γ = 90.00°
Space group P4mm (No. 99)
Inequivalent atoms, fractional coordinates:
Tb (0.0000, 0.0000, 0.0000) (multiplicity 1)
Pm (0.0000, 0.0000, 0.5046) (multiplicity 1)
Zn (0.5000, 0.5000, 0.7611) (multiplicity 1)
Au (0.5000, 0.5000, 0.2356) (multiplicity 1)

Simulated XRD peak list
Compound: Ac2Sn3Ir4Pd
Radiation: Cu Kα (λ = 1.5418 Å)
Structure: a DFT-relaxed cell (PBE, Alexandria)
Intensities are scaled so that the largest is 100.

Principal peaks in the range 2θ = 5–70°, low angle first:
2θ/deg, d_spacing, intensity, h k l
30.98, 2.886, 52.7, 1 0 3
32.65, 2.743, 100.0, 1 1 2
40.82, 2.210, 59.7, 2 0 0
44.62, 2.031, 31.5, 1 0 5
52.12, 1.755, 25.4, 2 1 3
62.06, 1.495, 24.1, 2 1 5

Atomic structure:
a = 4.4209 Å, b = 4.4209 Å, c = 11.4320 Å
α = 90.00°, β = 90.00°, γ = 90.00°
Space group P-4m2 (No. 115)
Inequivalent atoms, fractional coordinates:
Ac (0.0000, 0.5000, 0.2406) (multiplicity 2)
Sn (0.0000, 0.0000, 0.0000) (multiplicity 1)
Sn (0.0000, 0.5000, 0.6271) (multiplicity 2)
Ir (0.0000, 0.0000, 0.5000) (multiplicity 1)
Ir (0.0000, 0.5000, 0.8580) (multiplicity 2)
Ir (0.5000, 0.5000, 0.5000) (multiplicity 1)
Pd (0.5000, 0.5000, 0.0000) (multiplicity 1)

Simulated XRD peak list
Compound: TlCo
Radiation: Cu Kα (λ = 1.5418 Å)
Structure: a DFT-relaxed cell (PBE, Alexandria)
Intensities are scaled so that the largest is 100.

Principal peaks in the range 2θ = 5–70°, low angle first:
2θ/deg, d_spacing, intensity, h k l
27.04, 3.298, 48.7, 0 3 1
31.14, 2.872, 100.0, 0 2 2
32.56, 2.750, 57.1, 1 0 1
36.27, 2.476, 73.3, 1 2 1
38.07, 2.364, 63.4, 1 3 0
57.77, 1.596, 50.8, 1 5 2

Atomic structure:
a = 3.0203 Å, b = 11.3912 Å, c = 6.6517 Å
α = 90.00°, β = 90.00°, γ = 90.00°
Space group Imm2 (No. 44)
Inequivalent atoms, fractional coordinates:
Tl (0.0000, 0.0000, 0.0000) (multiplicity 2)
Tl (0.0000, 0.2867, 0.1897) (multiplicity 4)
Co (0.0000, 0.0000, 0.5713) (multiplicity 2)
Co (0.0000, 0.4006, 0.8360) (multiplicity 4)